[1]
This entry pairs a crystal structure of NaPaC with its computed powder diffraction line list. Radiation: Cu Kα (λ = 1.5418 Å). Structure: the PBE geometry in Alexandria.

Cell: 4.1508 4.1508 9.1752 Å, 90.00 90.00 90.00°
Fractional coordinates of all 6 atoms:
Na (0.2500, 0.2500, 0.1059)
Na (0.7500, 0.7500, 0.8941)
Pa (0.2500, 0.2500, 0.6106)
Pa (0.7500, 0.7500, 0.3894)
C (0.2500, 0.7500, 0.5000)
C (0.7500, 0.2500, 0.5000)

Main lines, in order of rising 2θ (5 to 70 degrees two-theta):
Position (°2θ)  Rel. int.
9.64  100
23.52  33
29.01  72
30.46  30
32.02  19
36.49  20
43.61  14
50.50  15
53.23  27
58.13  11



[2]
This entry pairs a crystal structure of Li3In2SnI8 with its computed powder diffraction line list. Radiation: Cu Kα (λ = 1.5418 Å). Structure: the PBE geometry in Alexandria.

Cell: 9.4409 9.4409 9.4409 Å, 57.23 57.23 57.23°
Fractional coordinates of all 14 atoms:
Li (0.0050, 0.4975, 0.4975)
Li (0.4975, 0.0049, 0.4975)
Li (0.4975, 0.4975, 0.0050)
In (0.4998, 0.4998, 0.4998)
In (0.8720, 0.8720, 0.8720)
Sn (0.1321, 0.1321, 0.1321)
I (0.2385, 0.2385, 0.7374)
I (0.2385, 0.7374, 0.2385)
I (0.2732, 0.7578, 0.7578)
I (0.2768, 0.2768, 0.2768)
I (0.7374, 0.2385, 0.2385)
I (0.7374, 0.7374, 0.7374)
I (0.7578, 0.2732, 0.7578)
I (0.7578, 0.7578, 0.2732)

Main lines, in order of rising 2θ (5 to 70 degrees two-theta):
Position (°2θ)  Rel. int.
19.63  26
22.65  46
23.94  100
27.34  66
29.64  35
35.13  22
38.20  47
39.87  65
46.32  20
47.05  16



[3]
This entry pairs a crystal structure of CdSbF with its computed powder diffraction line list. Radiation: Cu Kα (λ = 1.5418 Å). Structure: the PBE geometry in Alexandria.

Cell: 5.8982 3.1939 8.3564 Å, 90.00 90.06 90.00°
Fractional coordinates of all 6 atoms:
Cd (0.2502, 0.0000, 0.1298)
Cd (0.7498, 0.0000, 0.8702)
Sb (0.2494, 0.0000, 0.4617)
Sb (0.7506, 0.0000, 0.5383)
F (0.0000, 0.5000, 0.0000)
F (0.5000, 0.5000, 0.0000)

Main lines, in order of rising 2θ (5 to 70 degrees two-theta):
Position (°2θ)  Rel. int.
18.41  100
21.27  42
27.94  66
30.31  54
32.15  32
33.67  44
35.65  35
41.69  62
43.09  35
45.88  34



[4]
This entry pairs a crystal structure of PrY2PuO8 with its computed powder diffraction line list. Radiation: Cu Kα (λ = 1.5418 Å). Structure: the PBE geometry in Alexandria.

Cell: 5.1423 7.1218 5.1452 Å, 90.00 90.12 90.00°
Fractional coordinates of all 12 atoms:
Pr (0.0000, 0.0000, 0.0000)
Y (0.5000, 0.2436, 0.5000)
Y (0.5000, 0.7564, 0.5000)
Pu (0.0000, 0.5000, 0.0000)
O (0.1867, 0.2868, 0.8145)
O (0.1867, 0.7132, 0.8145)
O (0.2767, 0.5000, 0.2777)
O (0.3160, 0.0000, 0.3177)
O (0.6840, 0.0000, 0.6823)
O (0.7233, 0.5000, 0.7223)
O (0.8133, 0.2868, 0.1855)
O (0.8133, 0.7132, 0.1855)

Main lines, in order of rising 2θ (5 to 70 degrees two-theta):
Position (°2θ)  Rel. int.
17.24  26
21.31  10
24.47  100
30.53  90
34.89  25
35.26  12
47.03  71
56.57  12
57.64  18
59.87  21